No. 1
Structure and computed powder diffractogram of Li2TaS4 (a DFT-relaxed cell (GGA-PBE, Alexandria); Cu Kα).
Lines closer than 0.1° are merged.

Largest 10 diffraction maxima, sorted by position, 10 to 80 degrees two-theta:
2theta, I/Imax
14.60, 100
16.73, 28
24.06, 12
27.99, 14
29.54, 34
33.84, 17
35.37, 32
39.37, 13
45.87, 13
49.75, 22

Atomic structure:
abc: 7.399 10.597 3.487
angles: 90.00 90.00 90.00
Element x y z (fractional)
Li 0.246 0.248 0.000
Li 0.254 0.748 0.000
Li 0.746 0.252 0.000
Li 0.754 0.752 0.000
Ta 0.000 0.500 0.500
Ta 0.500 0.000 0.500
S 0.004 0.729 0.500
S 0.235 0.499 0.000
S 0.265 0.999 0.000
S 0.496 0.229 0.500
S 0.504 0.771 0.500
S 0.735 0.001 0.000
S 0.765 0.501 0.000
S 0.996 0.271 0.500

No. 2
Structure and computed powder diffractogram of Zr3Co6P5 (a DFT-relaxed cell (GGA-PBE, Alexandria); Cu Kα).
Lines closer than 0.1° are merged.

Largest 10 diffraction maxima, sorted by position, 10 to 80 degrees two-theta:
2theta, I/Imax
25.73, 9
34.47, 8
35.64, 9
38.42, 29
39.03, 31
40.03, 100
48.54, 18
50.53, 26
65.22, 11
72.73, 23

Atomic structure:
abc: 3.612 11.254 9.000
angles: 90.00 90.00 90.00
Element x y z (fractional)
Zr 0.250 0.094 0.244
Zr 0.250 0.406 0.244
Zr 0.250 0.750 0.262
Zr 0.750 0.250 0.738
Zr 0.750 0.594 0.756
Zr 0.750 0.906 0.756
Co 0.250 0.057 0.599
Co 0.250 0.250 0.480
Co 0.250 0.250 0.981
Co 0.250 0.443 0.599
Co 0.250 0.582 0.009
Co 0.250 0.918 0.009
Co 0.750 0.082 0.991
Co 0.750 0.418 0.991
Co 0.750 0.557 0.401
Co 0.750 0.750 0.019
Co 0.750 0.750 0.520
Co 0.750 0.943 0.401
P 0.250 0.078 0.846
P 0.250 0.422 0.846
P 0.250 0.631 0.529
P 0.250 0.750 0.871
P 0.250 0.869 0.529
P 0.750 0.131 0.471
P 0.750 0.250 0.129
P 0.750 0.369 0.471
P 0.750 0.578 0.154
P 0.750 0.922 0.154

No. 3
Structure and computed powder diffractogram of LiMgZnHg2 (a DFT-relaxed cell (GGA-PBE, Alexandria); Cu Kα).
Lines closer than 0.1° are merged.

Largest 10 diffraction maxima, sorted by position, 10 to 80 degrees two-theta:
2theta, I/Imax
15.82, 21
21.82, 58
27.06, 100
38.27, 74
39.02, 74
47.50, 23
50.68, 21
55.81, 26
62.57, 20
69.69, 27

Atomic structure:
abc: 4.704 4.704 5.602
angles: 90.00 90.00 120.00
Element x y z (fractional)
Li 0.000 0.000 0.000
Mg 0.333 0.667 0.622
Zn 0.667 0.333 0.317
Hg 0.000 0.000 0.473
Hg 0.667 0.333 0.839

No. 4
Structure and computed powder diffractogram of KInSnCl4 (a DFT-relaxed cell (GGA-PBE, Alexandria); Cu Kα).
Lines closer than 0.1° are merged.

Largest 10 diffraction maxima, sorted by position, 10 to 80 degrees two-theta:
2theta, I/Imax
11.06, 52
16.84, 35
22.56, 100
23.08, 87
32.11, 94
32.27, 49
39.92, 45
46.05, 32
46.17, 35
47.18, 43

Atomic structure:
abc: 8.916 8.916 8.916
angles: 143.57 143.57 52.48
Element x y z (fractional)
K 0.000 0.000 0.000
In 0.281 0.281 0.000
Sn 0.635 0.635 0.000
Cl 0.119 0.619 0.500
Cl 0.449 0.449 0.000
Cl 0.619 0.119 0.500
Cl 0.805 0.805 0.000

No. 5
Structure and computed powder diffractogram of ScBe3 (a DFT-relaxed cell (GGA-PBE, Alexandria); Cu Kα).
Lines closer than 0.1° are merged.

Largest 10 diffraction maxima, sorted by position, 10 to 80 degrees two-theta:
2theta, I/Imax
11.93, 15
22.37, 100
24.00, 31
35.96, 88
38.52, 26
38.66, 52
39.34, 46
45.02, 24
45.94, 51
46.04, 25

Atomic structure:
abc: 4.659 4.659 7.884
angles: 107.08 107.08 60.23
Element x y z (fractional)
Sc 0.000 0.000 0.000
Sc 0.142 0.142 0.426
Sc 0.858 0.858 0.574
Be 0.080 0.578 0.237
Be 0.334 0.334 0.001
Be 0.422 0.422 0.762
Be 0.422 0.920 0.763
Be 0.500 0.500 0.500
Be 0.578 0.080 0.237
Be 0.578 0.578 0.238
Be 0.666 0.666 0.999
Be 0.920 0.422 0.763

No. 6
Structure and computed powder diffractogram of Zr5P7Pd9 (a DFT-relaxed cell (GGA-PBE, Alexandria); Cu Kα).
Lines closer than 0.1° are merged.

Largest 10 diffraction maxima, sorted by position, 10 to 80 degrees two-theta:
2theta, I/Imax
28.76, 17
35.94, 100
36.06, 42
38.59, 54
39.67, 25
41.23, 19
42.68, 20
43.81, 18
47.33, 33
63.39, 20

Atomic structure:
abc: 3.841 13.722 13.722
angles: 152.41 90.00 90.00
Element x y z (fractional)
Zr 0.000 0.000 0.000
Zr 0.000 0.294 0.471
Zr 0.000 0.471 0.294
Zr 0.500 0.018 0.560
Zr 0.500 0.560 0.018
P 0.000 0.290 0.862
P 0.000 0.601 0.601
P 0.000 0.862 0.290
P 0.500 0.029 0.166
P 0.500 0.166 0.029
P 0.500 0.443 0.731
P 0.500 0.731 0.443
Pd 0.000 0.263 0.656
Pd 0.000 0.656 0.263
Pd 0.000 0.696 0.974
Pd 0.000 0.974 0.696
Pd 0.500 0.016 0.332
Pd 0.500 0.332 0.016
Pd 0.500 0.355 0.355
Pd 0.500 0.673 0.790
Pd 0.500 0.790 0.673

No. 7
Structure and computed powder diffractogram of La5YAg6 (a DFT-relaxed cell (GGA-PBE, Alexandria); Cu Kα).
Lines closer than 0.1° are merged.

Largest 10 diffraction maxima, sorted by position, 10 to 80 degrees two-theta:
2theta, I/Imax
33.22, 51
33.46, 100
47.69, 18
48.40, 9
59.51, 36
59.96, 17
69.83, 3
70.30, 11
79.40, 4
79.58, 11

Atomic structure:
abc: 8.536 8.536 7.523
angles: 90.00 90.00 143.21
Element x y z (fractional)
La 0.000 0.000 0.000
La 0.331 0.669 0.000
La 0.333 0.667 0.500
La 0.667 0.333 0.500
La 0.669 0.331 0.000
Y 0.000 0.000 0.500
Ag 0.161 0.839 0.257
Ag 0.161 0.839 0.743
Ag 0.500 0.500 0.264
Ag 0.500 0.500 0.736
Ag 0.839 0.161 0.257
Ag 0.839 0.161 0.743

No. 8
Structure and computed powder diffractogram of NiSn3 (a DFT-relaxed cell (GGA-PBE, Alexandria); Cu Kα).
Lines closer than 0.1° are merged.

Largest 10 diffraction maxima, sorted by position, 10 to 80 degrees two-theta:
2theta, I/Imax
32.69, 100
33.42, 57
35.17, 83
36.12, 76
40.01, 26
40.91, 35
47.26, 35
58.09, 30
60.89, 35
66.09, 29

Atomic structure:
abc: 5.928 5.928 8.322
angles: 90.00 90.00 142.14
Element x y z (fractional)
Ni 0.247 0.753 0.750
Ni 0.753 0.247 0.250
Sn 0.144 0.856 0.057
Sn 0.144 0.856 0.443
Sn 0.424 0.576 0.250
Sn 0.576 0.424 0.750
Sn 0.856 0.144 0.557
Sn 0.856 0.144 0.943

No. 9
Structure and computed powder diffractogram of BaMo3 (a DFT-relaxed cell (GGA-PBE, Alexandria); Cu Kα).
Lines closer than 0.1° are merged.

Largest 10 diffraction maxima, sorted by position, 10 to 80 degrees two-theta:
2theta, I/Imax
12.03, 33
24.20, 27
24.65, 39
32.55, 70
34.02, 49
36.76, 100
43.67, 33
54.59, 29
56.49, 22
65.35, 18

Atomic structure:
abc: 3.102 4.145 7.501
angles: 90.00 101.26 90.00
Element x y z (fractional)
Ba 0.000 0.000 0.000
Mo 0.220 0.500 0.649
Mo 0.500 0.000 0.500
Mo 0.780 0.500 0.351

No. 10
Structure and computed powder diffractogram of Nd12Tl4SnO3 (a DFT-relaxed cell (GGA-PBE, Alexandria); Cu Kα).
Lines closer than 0.1° are merged.

Largest 10 diffraction maxima, sorted by position, 10 to 80 degrees two-theta:
2theta, I/Imax
24.14, 8
29.68, 100
32.12, 4
34.40, 67
40.58, 4
49.44, 46
58.73, 41
61.62, 15
65.81, 3
72.52, 7

Atomic structure:
abc: 9.031 9.031 9.031
angles: 109.47 109.47 109.47
Element x y z (fractional)
Nd 0.000 0.275 0.275
Nd 0.000 0.725 0.725
Nd 0.250 0.500 0.750
Nd 0.250 0.750 0.500
Nd 0.275 0.000 0.275
Nd 0.275 0.275 0.000
Nd 0.500 0.250 0.750
Nd 0.500 0.750 0.250
Nd 0.725 0.000 0.725
Nd 0.725 0.725 0.000
Nd 0.750 0.250 0.500
Nd 0.750 0.500 0.250
Tl 0.000 0.000 0.500
Tl 0.000 0.500 0.000
Tl 0.500 0.000 0.000
Tl 0.500 0.500 0.500
Sn 0.000 0.000 0.000
O 0.000 0.500 0.500
O 0.500 0.000 0.500
O 0.500 0.500 0.000

No. 11
Structure and computed powder diffractogram of Pr4Y3Ho3 (a DFT-relaxed cell (GGA-PBE, Alexandria); Cu Kα).
Lines closer than 0.1° are merged.

Largest 10 diffraction maxima, sorted by position, 10 to 80 degrees two-theta:
2theta, I/Imax
13.36, 14
30.14, 62
31.60, 100
38.41, 12
40.86, 10
46.43, 13
47.34, 10
55.45, 13
57.16, 15
58.21, 20

Atomic structure:
abc: 3.841 9.370 9.370
angles: 89.98 90.00 90.00
Element x y z (fractional)
Pr 0.000 0.000 0.000
Pr 0.000 0.263 0.263
Pr 0.000 0.497 0.762
Pr 0.000 0.762 0.497
Y 0.000 0.131 0.631
Y 0.000 0.631 0.131
Y 0.500 0.798 0.798
Ho 0.500 0.298 0.963
Ho 0.500 0.463 0.463
Ho 0.500 0.963 0.298

No. 12
Structure and computed powder diffractogram of Tb5Ho2Hg (a DFT-relaxed cell (GGA-PBE, Alexandria); Cu Kα).
Lines closer than 0.1° are merged.

Largest 10 diffraction maxima, sorted by position, 10 to 80 degrees two-theta:
2theta, I/Imax
31.41, 100
35.57, 19
36.05, 16
37.62, 14
51.43, 7
52.74, 10
53.09, 9
61.22, 8
61.36, 7
64.05, 8

Atomic structure:
abc: 6.905 6.907 6.953
angles: 118.30 118.58 92.36
Element x y z (fractional)
Tb 0.000 0.000 0.000
Tb 0.011 0.492 0.482
Tb 0.441 0.922 0.472
Tb 0.464 0.454 0.001
Tb 0.485 0.969 0.997
Ho 0.549 0.459 0.551
Ho 0.946 0.986 0.475
Hg 0.984 0.463 0.989